Starting from a GGA-PBE-relaxed structure, the X-ray diffraction stick pattern of Dy4InAu7 was calculated for Cu Ka.

Principal peaks in the range 2θ from 10° to 80°, low angle first:
| 2theta | I (rel.) |
| --- | --- |
| 29.7 | 16 |
| 31.9 | 47 |
| 34.5 | 90 |
| 35.0 | 39 |
| 35.2 | 100 |
| 36.8 | 32 |
| 37.0 | 32 |
| 37.7 | 20 |
| 47.7 | 31 |
| 48.0 | 22 |
| 48.5 | 20 |
| 62.2 | 26 |

Structure:
```
Dy4InAu7
1.0
7.156 -2.602 0.000
7.156 2.602 0.000
-4.818 0.000 7.457
Dy In Au
4 1 7
Direct
0.060 0.060 0.237
0.239 0.239 0.754
0.761 0.761 0.246
0.940 0.940 0.763
0.500 0.500 0.500
0.000 0.000 0.500
0.188 0.188 0.054
0.301 0.301 0.492
0.436 0.436 0.124
0.564 0.564 0.876
0.699 0.699 0.508
0.812 0.812 0.946
```

***

Starting from a GGA-PBE-relaxed structure, the X-ray diffraction stick pattern of Li7Ca3Sb4 was calculated for Cu Ka.

Principal peaks in the range 2θ from 10° to 80°, low angle first:
| 2theta | I (rel.) |
| --- | --- |
| 10.5 | 23 |
| 21.2 | 62 |
| 22.8 | 31 |
| 25.0 | 100 |
| 25.1 | 19 |
| 25.9 | 65 |
| 28.7 | 28 |
| 32.6 | 19 |
| 33.1 | 41 |
| 38.2 | 55 |
| 38.6 | 31 |
| 40.9 | 28 |

Structure:
```
Li7Ca3Sb4
1.0
8.350 -2.333 0.000
8.350 2.333 0.000
-7.383 0.000 8.391
Li Ca Sb
7 3 4
Direct
0.000 0.000 0.000
0.166 0.166 0.902
0.325 0.325 0.489
0.475 0.475 0.202
0.525 0.525 0.798
0.675 0.675 0.511
0.834 0.834 0.098
0.000 0.000 0.500
0.306 0.306 0.760
0.694 0.694 0.240
0.097 0.097 0.322
0.324 0.324 0.237
0.676 0.676 0.763
0.903 0.903 0.678
```

***

Starting from a GGA-PBE-relaxed structure, the X-ray diffraction stick pattern of PbSO4 was calculated for Cu Ka.

Principal peaks in the range 2θ from 10° to 80°, low angle first:
| 2theta | I (rel.) |
| --- | --- |
| 18.0 | 56 |
| 23.7 | 100 |
| 29.9 | 33 |
| 32.3 | 73 |
| 33.7 | 27 |
| 38.5 | 21 |
| 45.7 | 24 |
| 47.4 | 54 |
| 48.4 | 14 |
| 50.1 | 15 |
| 59.4 | 15 |
| 70.1 | 16 |

Structure:
```
PbSO4
1.0
-3.759 3.759 3.247
3.759 -3.759 3.247
3.759 3.759 -3.247
Pb S O
2 2 8
Direct
0.375 0.625 0.750
0.625 0.375 0.250
0.125 0.875 0.250
0.875 0.125 0.750
0.147 0.738 0.410
0.172 0.262 0.910
0.262 0.172 0.410
0.262 0.853 0.090
0.738 0.147 0.910
0.738 0.828 0.590
0.828 0.738 0.090
0.853 0.262 0.590
```

***

Starting from a GGA-PBE-relaxed structure, the X-ray diffraction stick pattern of Ru4W11 was calculated for Cu Ka.

Principal peaks in the range 2θ from 10° to 80°, low angle first:
| 2theta | I (rel.) |
| --- | --- |
| 34.3 | 14 |
| 35.8 | 15 |
| 38.3 | 86 |
| 39.4 | 45 |
| 40.5 | 48 |
| 41.6 | 66 |
| 42.5 | 100 |
| 43.5 | 38 |
| 46.8 | 15 |
| 67.6 | 27 |
| 68.9 | 24 |
| 70.7 | 19 |

Structure:
```
Ru4W11
1.0
9.695 0.000 0.000
0.000 9.695 0.000
0.000 0.000 5.014
Ru W
8 22
Direct
0.068 0.263 0.000
0.237 0.568 0.500
0.263 0.068 0.000
0.432 0.763 0.500
0.568 0.237 0.500
0.737 0.932 0.000
0.763 0.432 0.500
0.932 0.737 0.000
0.000 0.000 0.000
0.036 0.369 0.500
0.101 0.101 0.500
0.131 0.536 0.000
0.184 0.816 0.250
0.184 0.816 0.750
0.316 0.316 0.250
0.316 0.316 0.750
0.369 0.036 0.500
0.399 0.601 0.000
0.464 0.869 0.000
0.500 0.500 0.500
0.536 0.131 0.000
0.601 0.399 0.000
0.631 0.964 0.500
0.684 0.684 0.250
0.684 0.684 0.750
0.816 0.184 0.250
0.816 0.184 0.750
0.869 0.464 0.000
0.899 0.899 0.500
0.964 0.631 0.500
```

***

Starting from a GGA-PBE-relaxed structure, the X-ray diffraction stick pattern of Sn was calculated for Cu Ka.

Principal peaks in the range 2θ from 10° to 80°, low angle first:
| 2theta | I (rel.) |
| --- | --- |
| 12.2 | 26 |
| 17.5 | 63 |
| 22.5 | 100 |
| 27.9 | 60 |
| 33.7 | 44 |
| 37.8 | 21 |
| 38.3 | 30 |
| 40.3 | 85 |
| 42.1 | 30 |
| 44.5 | 24 |
| 48.0 | 28 |
| 74.2 | 18 |

Structure:
```
Sn
1.0
4.703 0.000 0.000
0.000 7.138 0.000
0.000 0.000 7.237
Sn
6
Direct
0.250 0.000 0.113
0.250 0.295 0.383
0.250 0.705 0.383
0.750 0.000 0.887
0.750 0.295 0.617
0.750 0.705 0.617
```

***

Starting from a GGA-PBE-relaxed structure, the X-ray diffraction stick pattern of Y2Pb3 was calculated for Cu Ka.

Principal peaks in the range 2θ from 10° to 80°, low angle first:
| 2theta | I (rel.) |
| --- | --- |
| 20.0 | 20 |
| 29.5 | 6 |
| 31.5 | 100 |
| 33.9 | 85 |
| 45.6 | 12 |
| 46.9 | 33 |
| 54.4 | 19 |
| 59.1 | 34 |
| 60.6 | 16 |
| 65.6 | 11 |
| 71.3 | 10 |
| 76.0 | 15 |

Structure:
```
Y2Pb3
1.0
5.290 0.000 0.000
-2.645 4.582 0.000
0.000 0.000 18.141
Y Pb
6 9
Direct
0.000 0.000 0.101
0.000 0.000 0.899
0.333 0.667 0.565
0.333 0.667 0.768
0.667 0.333 0.232
0.667 0.333 0.435
0.000 0.000 0.309
0.000 0.000 0.500
0.000 0.000 0.691
0.333 0.667 0.167
0.333 0.667 0.358
0.333 0.667 0.975
0.667 0.333 0.025
0.667 0.333 0.642
0.667 0.333 0.833
```